Starting from a PBE-relaxed structure, the powder XRD pattern of Pm8BiSb4Te3 was computed for copper Kα.

Structural model:
```
data_Pm8BiSb4Te3
_space_group_name_H-M_alt 'P 1'
_space_group_IT_number 1
_cell_length_a 9.004
_cell_length_b 9.004
_cell_length_c 9.004
_cell_angle_alpha 59.89
_cell_angle_beta 59.89
_cell_angle_gamma 59.89
loop_
_space_group_symop_operation_xyz
'x,y,z'
loop_
_atom_site_label
_atom_site_type_symbol
_atom_site_fract_x
_atom_site_fract_y
_atom_site_fract_z
Pm1 Pm 0.246 0.748 0.748
Pm2 Pm 0.247 0.247 0.247
Pm3 Pm 0.252 0.252 0.754
Pm4 Pm 0.252 0.754 0.252
Pm5 Pm 0.748 0.246 0.748
Pm6 Pm 0.748 0.748 0.246
Pm7 Pm 0.753 0.753 0.753
Pm8 Pm 0.754 0.252 0.252
Bi1 Bi 0.000 0.000 0.000
Sb1 Sb 0.000 0.000 0.500
Sb2 Sb 0.000 0.500 0.000
Sb3 Sb 0.500 0.000 0.000
Sb4 Sb 0.500 0.500 0.500
Te1 Te 0.000 0.500 0.500
Te2 Te 0.500 0.000 0.500
Te3 Te 0.500 0.500 0.000
```

Most intense lines, 2θ from 15° to 90°, by angle:
28.1 deg, intensity 100; 40.1 deg, intensity 77; 49.6 deg, intensity 7; 49.7 deg, intensity 21; 58.0 deg, intensity 13; 65.6 deg, intensity 35; 72.7 deg, intensity 6; 72.9 deg, intensity 20; 86.5 deg, intensity 4; 86.7 deg, intensity 4

=====

Starting from a PBE-relaxed structure, the powder XRD pattern of LiMn3N4 was computed for copper Kα.

Structural model:
```
data_LiMn3N4
_space_group_name_H-M_alt 'P 1'
_space_group_IT_number 1
_cell_length_a 6.199
_cell_length_b 5.275
_cell_length_c 5.025
_cell_angle_alpha 90.00
_cell_angle_beta 90.00
_cell_angle_gamma 90.00
loop_
_space_group_symop_operation_xyz
'x,y,z'
loop_
_atom_site_label
_atom_site_type_symbol
_atom_site_fract_x
_atom_site_fract_y
_atom_site_fract_z
Li1 Li 0.000 0.157 0.000
Li2 Li 0.500 0.843 0.500
Mn1 Mn 0.000 0.816 0.474
Mn2 Mn 0.241 0.348 0.507
Mn3 Mn 0.259 0.652 0.007
Mn4 Mn 0.500 0.184 0.974
Mn5 Mn 0.741 0.652 0.007
Mn6 Mn 0.759 0.348 0.507
N1 N 0.000 0.156 0.566
N2 N 0.000 0.780 0.110
N3 N 0.221 0.663 0.648
N4 N 0.279 0.337 0.148
N5 N 0.500 0.220 0.610
N6 N 0.500 0.844 0.066
N7 N 0.721 0.337 0.148
N8 N 0.779 0.663 0.648
```

Most intense lines, 2θ from 15° to 90°, by angle:
16.8 deg, intensity 29; 22.1 deg, intensity 37; 22.8 deg, intensity 56; 33.5 deg, intensity 67; 34.0 deg, intensity 29; 35.7 deg, intensity 69; 38.1 deg, intensity 100; 38.6 deg, intensity 55; 60.6 deg, intensity 40; 65.8 deg, intensity 33

=====

Starting from a PBE-relaxed structure, the powder XRD pattern of Co2RuAu was computed for copper Kα.

Structural model:
```
data_Co2RuAu
_space_group_name_H-M_alt 'P 1'
_space_group_IT_number 1
_cell_length_a 4.535
_cell_length_b 4.535
_cell_length_c 4.535
_cell_angle_alpha 129.12
_cell_angle_beta 129.12
_cell_angle_gamma 74.82
loop_
_space_group_symop_operation_xyz
'x,y,z'
loop_
_atom_site_label
_atom_site_type_symbol
_atom_site_fract_x
_atom_site_fract_y
_atom_site_fract_z
Co1 Co 0.250 0.750 0.500
Co2 Co 0.750 0.250 0.500
Ru1 Ru 0.000 0.000 0.000
Au1 Au 0.500 0.500 0.000
```

Most intense lines, 2θ from 15° to 90°, by angle:
24.7 deg, intensity 16; 26.0 deg, intensity 16; 32.5 deg, intensity 16; 41.3 deg, intensity 100; 46.6 deg, intensity 35; 50.7 deg, intensity 14; 68.1 deg, intensity 11; 71.3 deg, intensity 19; 82.8 deg, intensity 26; 88.9 deg, intensity 11

=====

Starting from a PBE-relaxed structure, the powder XRD pattern of Na5B7C3 was computed for copper Kα.

Structural model:
```
data_Na5B7C3
_space_group_name_H-M_alt 'P 1'
_space_group_IT_number 1
_cell_length_a 5.100
_cell_length_b 7.586
_cell_length_c 9.033
_cell_angle_alpha 107.31
_cell_angle_beta 90.02
_cell_angle_gamma 109.64
loop_
_space_group_symop_operation_xyz
'x,y,z'
loop_
_atom_site_label
_atom_site_type_symbol
_atom_site_fract_x
_atom_site_fract_y
_atom_site_fract_z
Na1 Na 0.000 0.000 0.000
Na2 Na 0.097 0.196 0.490
Na3 Na 0.199 0.401 0.002
Na4 Na 0.299 0.599 0.496
Na5 Na 0.400 0.799 0.000
Na6 Na 0.500 0.996 0.492
Na7 Na 0.600 0.198 0.000
Na8 Na 0.700 0.397 0.495
Na9 Na 0.802 0.601 0.001
Na10 Na 0.899 0.798 0.494
B1 B 0.017 0.689 0.746
B2 B 0.116 0.899 0.247
B3 B 0.178 0.687 0.247
B4 B 0.188 0.107 0.748
B5 B 0.295 0.906 0.747
B6 B 0.379 0.489 0.746
B7 B 0.389 0.110 0.247
B8 B 0.498 0.299 0.748
B9 B 0.580 0.499 0.247
B10 B 0.626 0.907 0.748
B11 B 0.688 0.691 0.747
B12 B 0.763 0.898 0.247
B13 B 0.827 0.298 0.747
B14 B 0.980 0.298 0.247
C1 C 0.080 0.493 0.746
C2 C 0.323 0.304 0.247
C3 C 0.514 0.696 0.247
C4 C 0.716 0.101 0.248
C5 C 0.885 0.103 0.748
C6 C 0.917 0.493 0.246
```

Most intense lines, 2θ from 15° to 90°, by angle:
35.2 deg, intensity 10; 36.0 deg, intensity 18; 41.2 deg, intensity 51; 41.9 deg, intensity 100; 42.2 deg, intensity 38; 56.6 deg, intensity 10; 63.7 deg, intensity 18; 65.3 deg, intensity 9; 76.9 deg, intensity 12; 79.4 deg, intensity 17

=====

Starting from a PBE-relaxed structure, the powder XRD pattern of KNaHgAs was computed for copper Kα.

Structural model:
```
data_KNaHgAs
_space_group_name_H-M_alt 'P 1'
_space_group_IT_number 1
_cell_length_a 5.324
_cell_length_b 5.324
_cell_length_c 5.324
_cell_angle_alpha 60.00
_cell_angle_beta 60.00
_cell_angle_gamma 60.00
loop_
_space_group_symop_operation_xyz
'x,y,z'
loop_
_atom_site_label
_atom_site_type_symbol
_atom_site_fract_x
_atom_site_fract_y
_atom_site_fract_z
K1 K 0.000 0.000 0.000
Na1 Na 0.750 0.750 0.750
Hg1 Hg 0.250 0.250 0.250
As1 As 0.500 0.500 0.500
```

Most intense lines, 2θ from 15° to 90°, by angle:
20.4 deg, intensity 61; 33.7 deg, intensity 100; 39.7 deg, intensity 35; 48.4 deg, intensity 18; 53.0 deg, intensity 16; 60.2 deg, intensity 37; 64.3 deg, intensity 12; 70.8 deg, intensity 11; 74.6 deg, intensity 12; 80.7 deg, intensity 16

=====

Starting from a PBE-relaxed structure, the powder XRD pattern of Na5TeO6 was computed for copper Kα.

Structural model:
```
data_Na5TeO6
_space_group_name_H-M_alt 'P 1'
_space_group_IT_number 1
_cell_length_a 5.790
_cell_length_b 5.790
_cell_length_c 5.765
_cell_angle_alpha 100.67
_cell_angle_beta 100.67
_cell_angle_gamma 119.15
loop_
_space_group_symop_operation_xyz
'x,y,z'
loop_
_atom_site_label
_atom_site_type_symbol
_atom_site_fract_x
_atom_site_fract_y
_atom_site_fract_z
Na1 Na 0.000 0.000 0.000
Na2 Na 0.167 0.833 0.500
Na3 Na 0.329 0.671 0.000
Na4 Na 0.671 0.329 0.000
Na5 Na 0.833 0.167 0.500
Te1 Te 0.500 0.500 0.500
O1 O 0.151 0.430 0.282
O2 O 0.296 0.296 0.703
O3 O 0.430 0.151 0.282
O4 O 0.570 0.849 0.718
O5 O 0.704 0.704 0.297
O6 O 0.849 0.570 0.718
```

Most intense lines, 2θ from 15° to 90°, by angle:
16.5 deg, intensity 61; 17.8 deg, intensity 48; 18.5 deg, intensity 87; 20.5 deg, intensity 64; 24.4 deg, intensity 37; 32.8 deg, intensity 55; 37.4 deg, intensity 53; 38.6 deg, intensity 100; 54.5 deg, intensity 32; 55.2 deg, intensity 43

=====

Starting from a PBE-relaxed structure, the powder XRD pattern of KNa2SnS4 was computed for copper Kα.

Structural model:
```
data_KNa2SnS4
_space_group_name_H-M_alt 'P 1'
_space_group_IT_number 1
_cell_length_a 6.667
_cell_length_b 6.667
_cell_length_c 6.667
_cell_angle_alpha 112.81
_cell_angle_beta 112.81
_cell_angle_gamma 102.98
loop_
_space_group_symop_operation_xyz
'x,y,z'
loop_
_atom_site_label
_atom_site_type_symbol
_atom_site_fract_x
_atom_site_fract_y
_atom_site_fract_z
K1 K 0.000 0.000 0.000
Na1 Na 0.250 0.750 0.500
Na2 Na 0.750 0.250 0.500
Sn1 Sn 0.500 0.500 0.000
S1 S 0.147 0.533 0.000
S2 S 0.467 0.467 0.613
S3 S 0.533 0.147 0.000
S4 S 0.853 0.853 0.387
```

Most intense lines, 2θ from 15° to 90°, by angle:
16.1 deg, intensity 72; 17.0 deg, intensity 50; 27.5 deg, intensity 100; 29.1 deg, intensity 27; 32.5 deg, intensity 29; 34.4 deg, intensity 42; 42.6 deg, intensity 15; 44.5 deg, intensity 53; 45.7 deg, intensity 16; 50.4 deg, intensity 25

=====

Starting from a PBE-relaxed structure, the powder XRD pattern of KAg2I2Cl was computed for copper Kα.

Structural model:
```
data_KAg2I2Cl
_space_group_name_H-M_alt 'P 1'
_space_group_IT_number 1
_cell_length_a 8.768
_cell_length_b 5.937
_cell_length_c 9.535
_cell_angle_alpha 90.00
_cell_angle_beta 107.17
_cell_angle_gamma 90.00
loop_
_space_group_symop_operation_xyz
'x,y,z'
loop_
_atom_site_label
_atom_site_type_symbol
_atom_site_fract_x
_atom_site_fract_y
_atom_site_fract_z
K1 K 0.187 0.250 0.402
K2 K 0.813 0.750 0.598
Ag1 Ag 0.343 0.002 0.824
Ag2 Ag 0.343 0.498 0.824
Ag3 Ag 0.657 0.502 0.176
Ag4 Ag 0.657 0.998 0.176
I1 I 0.054 0.250 0.742
I2 I 0.402 0.750 0.593
I3 I 0.598 0.250 0.407
I4 I 0.946 0.750 0.258
Cl1 Cl 0.382 0.750 0.067
Cl2 Cl 0.618 0.250 0.933
```

Most intense lines, 2θ from 15° to 90°, by angle:
16.4 deg, intensity 67; 19.2 deg, intensity 100; 24.4 deg, intensity 46; 24.6 deg, intensity 38; 26.0 deg, intensity 76; 32.0 deg, intensity 44; 33.1 deg, intensity 38; 37.8 deg, intensity 39; 39.0 deg, intensity 90; 39.4 deg, intensity 73

=====

Starting from a PBE-relaxed structure, the powder XRD pattern of La2ZnAgO5 was computed for copper Kα.

Structural model:
```
data_La2ZnAgO5
_space_group_name_H-M_alt 'P 1'
_space_group_IT_number 1
_cell_length_a 6.925
_cell_length_b 6.925
_cell_length_c 5.774
_cell_angle_alpha 90.00
_cell_angle_beta 90.00
_cell_angle_gamma 90.00
loop_
_space_group_symop_operation_xyz
'x,y,z'
loop_
_atom_site_label
_atom_site_type_symbol
_atom_site_fract_x
_atom_site_fract_y
_atom_site_fract_z
La1 La 0.179 0.321 0.000
La2 La 0.321 0.821 0.000
La3 La 0.679 0.179 0.000
La4 La 0.821 0.679 0.000
Zn1 Zn 0.000 0.500 0.500
Zn2 Zn 0.500 0.000 0.500
Ag1 Ag 0.000 0.000 0.500
Ag2 Ag 0.500 0.500 0.500
O1 O 0.000 0.000 0.000
O2 O 0.133 0.633 0.254
O3 O 0.133 0.633 0.746
O4 O 0.367 0.133 0.254
O5 O 0.367 0.133 0.746
O6 O 0.500 0.500 0.000
O7 O 0.633 0.867 0.254
O8 O 0.633 0.867 0.746
O9 O 0.867 0.367 0.254
O10 O 0.867 0.367 0.746
```

Most intense lines, 2θ from 15° to 90°, by angle:
28.8 deg, intensity 19; 30.1 deg, intensity 100; 31.0 deg, intensity 34; 32.8 deg, intensity 52; 36.7 deg, intensity 24; 41.2 deg, intensity 16; 42.8 deg, intensity 38; 48.8 deg, intensity 21; 54.6 deg, intensity 27; 57.1 deg, intensity 16

=====

Starting from a PBE-relaxed structure, the powder XRD pattern of KPu2Cl8 was computed for copper Kα.

Structural model:
```
data_KPu2Cl8
_space_group_name_H-M_alt 'P 1'
_space_group_IT_number 1
_cell_length_a 7.671
_cell_length_b 7.671
_cell_length_c 5.425
_cell_angle_alpha 95.06
_cell_angle_beta 95.06
_cell_angle_gamma 112.77
loop_
_space_group_symop_operation_xyz
'x,y,z'
loop_
_atom_site_label
_atom_site_type_symbol
_atom_site_fract_x
_atom_site_fract_y
_atom_site_fract_z
K1 K 0.000 0.000 0.000
Pu1 Pu 0.322 0.678 0.500
Pu2 Pu 0.678 0.322 0.500
Cl1 Cl 0.052 0.330 0.580
Cl2 Cl 0.264 0.736 0.000
Cl3 Cl 0.330 0.052 0.580
Cl4 Cl 0.398 0.398 0.228
Cl5 Cl 0.602 0.602 0.772
Cl6 Cl 0.670 0.948 0.420
Cl7 Cl 0.736 0.264 0.000
Cl8 Cl 0.948 0.670 0.420
```

Most intense lines, 2θ from 15° to 90°, by angle:
16.6 deg, intensity 100; 21.2 deg, intensity 63; 21.7 deg, intensity 41; 23.4 deg, intensity 67; 29.8 deg, intensity 48; 33.5 deg, intensity 29; 36.8 deg, intensity 44; 38.5 deg, intensity 48; 39.8 deg, intensity 42; 42.7 deg, intensity 33

=====

Starting from a PBE-relaxed structure, the powder XRD pattern of TlAg8Pd6 was computed for copper Kα.

Structural model:
```
data_TlAg8Pd6
_space_group_name_H-M_alt 'P 1'
_space_group_IT_number 1
_cell_length_a 7.118
_cell_length_b 7.118
_cell_length_c 7.118
_cell_angle_alpha 66.50
_cell_angle_beta 66.50
_cell_angle_gamma 66.50
loop_
_space_group_symop_operation_xyz
'x,y,z'
loop_
_atom_site_label
_atom_site_type_symbol
_atom_site_fract_x
_atom_site_fract_y
_atom_site_fract_z
Tl1 Tl 0.000 0.000 0.000
Ag1 Ag 0.114 0.783 0.469
Ag2 Ag 0.217 0.531 0.886
Ag3 Ag 0.318 0.318 0.318
Ag4 Ag 0.469 0.114 0.783
Ag5 Ag 0.531 0.886 0.217
Ag6 Ag 0.682 0.682 0.682
Ag7 Ag 0.783 0.469 0.114
Ag8 Ag 0.886 0.217 0.531
Pd1 Pd 0.058 0.373 0.708
Pd2 Pd 0.292 0.942 0.627
Pd3 Pd 0.373 0.708 0.058
Pd4 Pd 0.627 0.292 0.942
Pd5 Pd 0.708 0.058 0.373
Pd6 Pd 0.942 0.627 0.292
```

Most intense lines, 2θ from 15° to 90°, by angle:
16.1 deg, intensity 8; 22.8 deg, intensity 4; 28.0 deg, intensity 16; 40.0 deg, intensity 100; 43.4 deg, intensity 4; 57.9 deg, intensity 16; 72.7 deg, intensity 23; 72.8 deg, intensity 5; 82.0 deg, intensity 4; 86.4 deg, intensity 5

=====

Starting from a PBE-relaxed structure, the powder XRD pattern of Tm8Sn2Ir3 was computed for copper Kα.

Structural model:
```
data_Tm8Sn2Ir3
_space_group_name_H-M_alt 'P 1'
_space_group_IT_number 1
_cell_length_a 8.806
_cell_length_b 8.806
_cell_length_c 4.811
_cell_angle_alpha 90.00
_cell_angle_beta 90.00
_cell_angle_gamma 113.33
loop_
_space_group_symop_operation_xyz
'x,y,z'
loop_
_atom_site_label
_atom_site_type_symbol
_atom_site_fract_x
_atom_site_fract_y
_atom_site_fract_z
Tm1 Tm 0.109 0.891 0.000
Tm2 Tm 0.142 0.365 0.500
Tm3 Tm 0.365 0.142 0.500
Tm4 Tm 0.387 0.613 0.000
Tm5 Tm 0.613 0.387 0.000
Tm6 Tm 0.635 0.858 0.500
Tm7 Tm 0.858 0.635 0.500
Tm8 Tm 0.891 0.109 0.000
Sn1 Sn 0.244 0.756 0.500
Sn2 Sn 0.756 0.244 0.500
Ir1 Ir 0.250 0.250 0.000
Ir2 Ir 0.500 0.500 0.500
Ir3 Ir 0.750 0.750 0.000
```

Most intense lines, 2θ from 15° to 90°, by angle:
22.0 deg, intensity 15; 35.9 deg, intensity 100; 37.2 deg, intensity 25; 37.4 deg, intensity 24; 45.6 deg, intensity 12; 49.6 deg, intensity 8; 53.7 deg, intensity 17; 66.2 deg, intensity 17; 66.5 deg, intensity 18; 76.1 deg, intensity 9